Theoretical powder XRD pattern
Compound: VCuHPbO5
Radiation: a wavelength of 1.5418 Å
Structure: a DFT-relaxed cell (PBE+U, Alexandria)
No peak broadening, texture or thermal motion is included.

Peak list (10 most intense, 5° ≤ 2θ ≤ 70°, in order of rising 2θ)
Position (°2θ), I_rel
17.3, 60.1
20.7, 40.2
22.3, 29.3
26.9, 100.0
31.1, 50.8
32.7, 46.3
33.2, 39.5
34.4, 64.8
38.4, 39.2
54.8, 42.8

Structure:
a b c (Å): 7.852 6.163 9.276
angles (deg): 90.00 90.00 90.00
Space group Pnma (No. 62)
One atom of each set of equivalent atoms:
V: 0.110 0.250 0.197 [4 per cell]
Cu: 0.000 0.000 0.500 [4 per cell]
H: 0.248 0.250 0.505 [4 per cell]
Pb: 0.142 0.250 0.830 [4 per cell]
O: 0.061 0.750 0.919 [4 per cell]
O: 0.108 0.005 0.302 [8 per cell]
O: 0.138 0.250 0.560 [4 per cell]
O: 0.215 0.750 0.586 [4 per cell]